(1)
Structure and calculated powder diffractogram of Tb2Ga3Au5 (a structure optimized by DFT (GGA-PBE); copper Kα).

The 8 most intense peaks (10 to 90 degrees two-theta), in order of falling intensity:
2θ/deg  I (rel.)
33.56  100
34.20  85
42.91  79
31.56  37
44.91  32
43.50  25
44.02  20
72.28  20

Crystal structure
```
data_Tb2Ga3Au5
_chemical_formula_sum 'Tb8 Ga12 Au20'
_cell_length_a 11.4953
_cell_length_b 11.7856
_cell_length_c 6.0315
_cell_angle_alpha 90.00
_cell_angle_beta 90.00
_cell_angle_gamma 90.00
_symmetry_space_group_name_H-M 'I b a m'
_symmetry_Int_Tables_number 72
_symmetry_space_group_name_Hall '-I 2 2c'
loop_
_atom_site_label
_atom_site_type_symbol
_atom_site_fract_x
_atom_site_fract_y
_atom_site_fract_z
Tb1 Tb 0.2248 0.1329 0.0000
Ga1 Ga 0.0000 0.5000 0.2500
Ga2 Ga 0.1254 0.1337 0.5000
Au1 Au 0.0000 0.0000 0.2500
Au2 Au 0.0000 0.2641 0.2500
Au3 Au 0.1606 0.3993 0.0000
```

=====

(2)
Structure and calculated powder diffractogram of Ce2SbO (a structure optimized by DFT (GGA-PBE); copper Kα).

The 8 most intense peaks (10 to 90 degrees two-theta), in order of falling intensity:
2θ/deg  I (rel.)
28.02  100
40.05  33
28.85  29
38.82  25
27.61  20
33.75  18
26.82  14
30.04  12

Crystal structure
```
data_Ce2SbO
_chemical_formula_sum 'Ce8 Sb4 O4'
_cell_length_a 6.3994
_cell_length_b 6.3670
_cell_length_c 11.9019
_cell_angle_alpha 90.00
_cell_angle_beta 116.79
_cell_angle_gamma 90.00
_symmetry_space_group_name_H-M 'P 1 2/c 1'
_symmetry_Int_Tables_number 13
_symmetry_space_group_name_Hall '-P 2yc'
loop_
_atom_site_label
_atom_site_type_symbol
_atom_site_fract_x
_atom_site_fract_y
_atom_site_fract_z
Ce1 Ce 0.0624 0.2349 0.0830
Ce2 Ce 0.2960 0.2078 0.8351
Sb1 Sb 0.3946 0.2873 0.3738
O1 O 0.0127 0.1140 0.6212
```

=====

(3)
Structure and calculated powder diffractogram of Tl2CoPb (a structure optimized by DFT (GGA-PBE); copper Kα).

The 8 most intense peaks (10 to 90 degrees two-theta), in order of falling intensity:
2θ/deg  I (rel.)
32.00  100
39.23  36
33.46  31
51.86  30
28.82  27
60.42  22
52.12  20
62.25  15

Crystal structure
```
data_Tl2CoPb
_chemical_formula_sum 'Tl6 Co3 Pb3'
_cell_length_a 3.5257
_cell_length_b 3.5257
_cell_length_c 27.8787
_cell_angle_alpha 90.00
_cell_angle_beta 90.00
_cell_angle_gamma 120.00
_symmetry_space_group_name_H-M 'R 3 m'
_symmetry_Int_Tables_number 160
_symmetry_space_group_name_Hall 'R 3 -2"'
loop_
_atom_site_label
_atom_site_type_symbol
_atom_site_fract_x
_atom_site_fract_y
_atom_site_fract_z
Tl1 Tl 0.0000 0.0000 0.0000
Tl2 Tl 0.0000 0.0000 0.2340
Co1 Co 0.0000 0.0000 0.7312
Pb1 Pb 0.0000 0.0000 0.4618
```

=====

Repeat the first record exactly.
Structure and calculated powder diffractogram of Tb2Ga3Au5 (a structure optimized by DFT (GGA-PBE); copper Kα).

The 8 most intense peaks (10 to 90 degrees two-theta), in order of falling intensity:
2θ/deg  I (rel.)
33.56  100
34.20  85
42.91  79
31.56  37
44.91  32
43.50  25
44.02  20
72.28  20

Crystal structure
```
data_Tb2Ga3Au5
_chemical_formula_sum 'Tb8 Ga12 Au20'
_cell_length_a 11.4953
_cell_length_b 11.7856
_cell_length_c 6.0315
_cell_angle_alpha 90.00
_cell_angle_beta 90.00
_cell_angle_gamma 90.00
_symmetry_space_group_name_H-M 'I b a m'
_symmetry_Int_Tables_number 72
_symmetry_space_group_name_Hall '-I 2 2c'
loop_
_atom_site_label
_atom_site_type_symbol
_atom_site_fract_x
_atom_site_fract_y
_atom_site_fract_z
Tb1 Tb 0.2248 0.1329 0.0000
Ga1 Ga 0.0000 0.5000 0.2500
Ga2 Ga 0.1254 0.1337 0.5000
Au1 Au 0.0000 0.0000 0.2500
Au2 Au 0.0000 0.2641 0.2500
Au3 Au 0.1606 0.3993 0.0000
```